No. 1
Diffraction record for Al2TlVCl8. The X-ray diffraction stick pattern is calculated, not measured: it uses DFT lattice parameters and positions (GGA-PBE) and Cu Kα.
Neutral-atom scattering factors, no anomalous dispersion.

Top 6 peaks for 5 to 70 degrees two-theta, most intense first:
2θ/deg, I (rel.)
29.68, 100
20.35, 92
33.89, 69
47.56, 37
28.14, 33
49.80, 30

Cell and atoms:
```
data_Al2TlVCl8
_space_group_name_H-M_alt 'P 1'
_space_group_IT_number 1
_cell_length_a 10.261
_cell_length_b 10.261
_cell_length_c 10.261
_cell_angle_alpha 36.01
_cell_angle_beta 36.01
_cell_angle_gamma 36.01
loop_
_space_group_symop_operation_xyz
'x,y,z'
loop_
_atom_site_label
_atom_site_fract_x
_atom_site_fract_y
_atom_site_fract_z
Al1 0.245 0.245 0.245
Al2 0.755 0.755 0.755
Tl1 0.000 0.000 0.000
V1 0.500 0.500 0.500
Cl1 0.110 0.769 0.458
Cl2 0.231 0.542 0.890
Cl3 0.320 0.320 0.320
Cl4 0.458 0.110 0.769
Cl5 0.542 0.890 0.231
Cl6 0.680 0.680 0.680
Cl7 0.769 0.458 0.110
Cl8 0.890 0.231 0.542
```



No. 2
Diffraction record for MnNi3Pt2. The X-ray diffraction stick pattern is calculated, not measured: it uses DFT lattice parameters and positions (GGA-PBE) and Cu Kα.
Neutral-atom scattering factors, no anomalous dispersion.

Top 6 peaks for 5 to 70 degrees two-theta, most intense first:
2θ/deg, I (rel.)
40.62, 100
27.80, 94
13.80, 81
47.19, 54
42.25, 42
44.18, 34

Cell and atoms:
```
data_MnNi3Pt2
_space_group_name_H-M_alt 'P 1'
_space_group_IT_number 1
_cell_length_a 7.758
_cell_length_b 7.758
_cell_length_c 7.758
_cell_angle_alpha 116.19
_cell_angle_beta 116.19
_cell_angle_gamma 96.74
loop_
_space_group_symop_operation_xyz
'x,y,z'
loop_
_atom_site_label
_atom_site_fract_x
_atom_site_fract_y
_atom_site_fract_z
Mn1 0.037 0.287 0.750
Mn2 0.287 0.037 0.250
Mn3 0.713 0.963 0.750
Mn4 0.963 0.713 0.250
Ni1 0.000 0.500 0.500
Ni2 0.102 0.352 0.203
Ni3 0.102 0.898 0.750
Ni4 0.352 0.102 0.703
Ni5 0.352 0.648 0.250
Ni6 0.500 0.000 0.000
Ni7 0.500 0.500 0.000
Ni8 0.500 0.500 0.500
Ni9 0.648 0.352 0.750
Ni10 0.648 0.898 0.297
Ni11 0.898 0.102 0.250
Ni12 0.898 0.648 0.797
Pt1 0.265 0.336 0.571
Pt2 0.265 0.695 0.929
Pt3 0.305 0.735 0.571
Pt4 0.336 0.265 0.071
Pt5 0.664 0.735 0.929
Pt6 0.695 0.265 0.429
Pt7 0.735 0.305 0.071
Pt8 0.735 0.664 0.429
```



No. 3
Diffraction record for CeErS2N. The X-ray diffraction stick pattern is calculated, not measured: it uses DFT lattice parameters and positions (GGA-PBE) and Cu Kα.
Neutral-atom scattering factors, no anomalous dispersion.

Top 6 peaks for 5 to 70 degrees two-theta, most intense first:
2θ/deg, I (rel.)
26.32, 100
32.62, 66
42.02, 37
54.49, 28
25.76, 27
46.80, 27

Cell and atoms:
```
data_CeErS2N
_space_group_name_H-M_alt 'P 1'
_space_group_IT_number 1
_cell_length_a 3.883
_cell_length_b 3.883
_cell_length_c 13.831
_cell_angle_alpha 90.00
_cell_angle_beta 90.00
_cell_angle_gamma 90.00
loop_
_space_group_symop_operation_xyz
'x,y,z'
loop_
_atom_site_label
_atom_site_fract_x
_atom_site_fract_y
_atom_site_fract_z
Ce1 0.250 0.250 0.086
Ce2 0.750 0.750 0.914
Er1 0.250 0.250 0.621
Er2 0.750 0.750 0.379
S1 0.250 0.250 0.410
S2 0.250 0.250 0.801
S3 0.750 0.750 0.199
S4 0.750 0.750 0.590
N1 0.250 0.750 0.000
N2 0.750 0.250 0.000
```



No. 4
Diffraction record for Cu2TeS2I. The X-ray diffraction stick pattern is calculated, not measured: it uses DFT lattice parameters and positions (GGA-PBE) and Cu Kα.
Neutral-atom scattering factors, no anomalous dispersion.

Top 6 peaks for 5 to 70 degrees two-theta, most intense first:
2θ/deg, I (rel.)
21.40, 100
24.13, 43
40.66, 32
45.53, 28
26.61, 26
12.96, 26

Cell and atoms:
```
data_Cu2TeS2I
_space_group_name_H-M_alt 'P 1'
_space_group_IT_number 1
_cell_length_a 7.001
_cell_length_b 5.830
_cell_length_c 8.389
_cell_angle_alpha 90.00
_cell_angle_beta 102.56
_cell_angle_gamma 90.00
loop_
_space_group_symop_operation_xyz
'x,y,z'
loop_
_atom_site_label
_atom_site_fract_x
_atom_site_fract_y
_atom_site_fract_z
Cu1 0.071 0.026 0.211
Cu2 0.071 0.474 0.211
Cu3 0.929 0.526 0.789
Cu4 0.929 0.974 0.789
Te1 0.340 0.250 0.623
Te2 0.660 0.750 0.377
S1 0.001 0.750 0.375
S2 0.324 0.250 0.334
S3 0.676 0.750 0.666
S4 0.999 0.250 0.625
I1 0.226 0.750 0.986
I2 0.774 0.250 0.014
```



No. 5
Diffraction record for Hf3Te4S2. The X-ray diffraction stick pattern is calculated, not measured: it uses DFT lattice parameters and positions (GGA-PBE) and Cu Kα.
Neutral-atom scattering factors, no anomalous dispersion.

Top 6 peaks for 5 to 70 degrees two-theta, most intense first:
2θ/deg, I (rel.)
6.51, 100
33.94, 50
9.77, 24
13.04, 23
27.43, 23
48.48, 17

Cell and atoms:
```
data_Hf3Te4S2
_space_group_name_H-M_alt 'P 1'
_space_group_IT_number 1
_cell_length_a 3.755
_cell_length_b 3.755
_cell_length_c 27.158
_cell_angle_alpha 90.00
_cell_angle_beta 90.00
_cell_angle_gamma 120.00
loop_
_space_group_symop_operation_xyz
'x,y,z'
loop_
_atom_site_label
_atom_site_fract_x
_atom_site_fract_y
_atom_site_fract_z
Hf1 0.000 0.000 0.000
Hf2 0.333 0.667 0.262
Hf3 0.333 0.667 0.738
Te1 0.000 0.000 0.192
Te2 0.000 0.000 0.332
Te3 0.000 0.000 0.668
Te4 0.000 0.000 0.808
S1 0.333 0.667 0.056
S2 0.333 0.667 0.944
```



No. 6
Diffraction record for Sr3Li4Ge4. The X-ray diffraction stick pattern is calculated, not measured: it uses DFT lattice parameters and positions (GGA-PBE) and Cu Kα.
Neutral-atom scattering factors, no anomalous dispersion.

Top 6 peaks for 5 to 70 degrees two-theta, most intense first:
2θ/deg, I (rel.)
32.56, 100
32.08, 66
25.81, 46
38.96, 31
24.80, 30
47.94, 20

Cell and atoms:
```
data_Sr3Li4Ge4
_space_group_name_H-M_alt 'P 1'
_space_group_IT_number 1
_cell_length_a 8.876
_cell_length_b 8.876
_cell_length_c 8.876
_cell_angle_alpha 149.81
_cell_angle_beta 132.28
_cell_angle_gamma 57.51
loop_
_space_group_symop_operation_xyz
'x,y,z'
loop_
_atom_site_label
_atom_site_fract_x
_atom_site_fract_y
_atom_site_fract_z
Sr1 0.000 0.000 0.000
Sr2 0.365 0.865 0.500
Sr3 0.635 0.135 0.500
Li1 0.017 0.327 0.690
Li2 0.363 0.673 0.690
Li3 0.637 0.327 0.310
Li4 0.983 0.673 0.310
Ge1 0.209 0.209 0.000
Ge2 0.331 0.500 0.831
Ge3 0.669 0.500 0.169
Ge4 0.791 0.791 0.000
```



No. 7
Diffraction record for Ce3PrGa8. The X-ray diffraction stick pattern is calculated, not measured: it uses DFT lattice parameters and positions (GGA-PBE) and Cu Kα.
Neutral-atom scattering factors, no anomalous dispersion.

Top 6 peaks for 5 to 70 degrees two-theta, most intense first:
2θ/deg, I (rel.)
37.64, 100
31.93, 51
60.71, 32
66.76, 25
39.38, 21
56.91, 20

Cell and atoms:
```
data_Ce3PrGa8
_space_group_name_H-M_alt 'P 1'
_space_group_IT_number 1
_cell_length_a 9.708
_cell_length_b 9.708
_cell_length_c 9.708
_cell_angle_alpha 33.56
_cell_angle_beta 33.56
_cell_angle_gamma 33.56
loop_
_space_group_symop_operation_xyz
'x,y,z'
loop_
_atom_site_label
_atom_site_fract_x
_atom_site_fract_y
_atom_site_fract_z
Ce1 0.000 0.000 0.000
Ce2 0.122 0.122 0.122
Ce3 0.627 0.627 0.627
Pr1 0.500 0.500 0.500
Ga1 0.062 0.562 0.562
Ga2 0.063 0.063 0.562
Ga3 0.063 0.562 0.063
Ga4 0.312 0.312 0.312
Ga5 0.562 0.062 0.562
Ga6 0.562 0.063 0.063
Ga7 0.562 0.562 0.062
Ga8 0.812 0.812 0.812
```



No. 8
Diffraction record for TbPr2Er2Tm2. The X-ray diffraction stick pattern is calculated, not measured: it uses DFT lattice parameters and positions (GGA-PBE) and Cu Kα.
Neutral-atom scattering factors, no anomalous dispersion.

Top 6 peaks for 5 to 70 degrees two-theta, most intense first:
2θ/deg, I (rel.)
32.56, 100
30.82, 83
35.36, 75
30.68, 70
61.77, 64
33.14, 54

Cell and atoms:
```
data_TbPr2Er2Tm2
_space_group_name_H-M_alt 'P 1'
_space_group_IT_number 1
_cell_length_a 11.699
_cell_length_b 3.507
_cell_length_c 11.809
_cell_angle_alpha 90.00
_cell_angle_beta 109.11
_cell_angle_gamma 90.00
loop_
_space_group_symop_operation_xyz
'x,y,z'
loop_
_atom_site_label
_atom_site_fract_x
_atom_site_fract_y
_atom_site_fract_z
Tb1 0.000 0.000 0.000
Tb2 0.500 0.500 0.000
Pr1 0.171 0.500 0.585
Pr2 0.329 0.000 0.415
Pr3 0.671 0.000 0.585
Pr4 0.829 0.500 0.415
Er1 0.049 0.500 0.268
Er2 0.451 0.000 0.732
Er3 0.549 0.000 0.268
Er4 0.951 0.500 0.732
Tm1 0.227 0.000 0.866
Tm2 0.273 0.500 0.134
Tm3 0.727 0.500 0.866
Tm4 0.773 0.000 0.134
```



No. 9
Diffraction record for Pa4Ge6Rh7. The X-ray diffraction stick pattern is calculated, not measured: it uses DFT lattice parameters and positions (GGA-PBE) and Cu Kα.
Neutral-atom scattering factors, no anomalous dispersion.

Top 6 peaks for 5 to 70 degrees two-theta, most intense first:
2θ/deg, I (rel.)
36.84, 100
42.80, 61
29.90, 46
62.13, 34
48.15, 14
21.02, 14

Cell and atoms:
```
data_Pa4Ge6Rh7
_space_group_name_H-M_alt 'P 1'
_space_group_IT_number 1
_cell_length_a 7.319
_cell_length_b 7.319
_cell_length_c 7.319
_cell_angle_alpha 109.47
_cell_angle_beta 109.47
_cell_angle_gamma 109.47
loop_
_space_group_symop_operation_xyz
'x,y,z'
loop_
_atom_site_label
_atom_site_fract_x
_atom_site_fract_y
_atom_site_fract_z
Pa1 0.000 0.000 0.500
Pa2 0.000 0.500 0.000
Pa3 0.500 0.000 0.000
Pa4 0.500 0.500 0.500
Ge1 0.000 0.313 0.313
Ge2 0.000 0.687 0.687
Ge3 0.313 0.000 0.313
Ge4 0.313 0.313 0.000
Ge5 0.687 0.000 0.687
Ge6 0.687 0.687 0.000
Rh1 0.000 0.000 0.000
Rh2 0.250 0.500 0.750
Rh3 0.250 0.750 0.500
Rh4 0.500 0.250 0.750
Rh5 0.500 0.750 0.250
Rh6 0.750 0.250 0.500
Rh7 0.750 0.500 0.250
```



No. 10
Diffraction record for K3Cd3Ag2. The X-ray diffraction stick pattern is calculated, not measured: it uses DFT lattice parameters and positions (GGA-PBE) and Cu Kα.
Neutral-atom scattering factors, no anomalous dispersion.

Top 6 peaks for 5 to 70 degrees two-theta, most intense first:
2θ/deg, I (rel.)
28.46, 100
28.71, 86
35.00, 84
35.53, 79
14.69, 74
10.54, 69

Cell and atoms:
```
data_K3Cd3Ag2
_space_group_name_H-M_alt 'P 1'
_space_group_IT_number 1
_cell_length_a 6.554
_cell_length_b 6.554
_cell_length_c 16.786
_cell_angle_alpha 90.00
_cell_angle_beta 90.00
_cell_angle_gamma 133.94
loop_
_space_group_symop_operation_xyz
'x,y,z'
loop_
_atom_site_label
_atom_site_fract_x
_atom_site_fract_y
_atom_site_fract_z
K1 0.087 0.913 0.608
K2 0.087 0.913 0.892
K3 0.393 0.607 0.750
K4 0.607 0.393 0.250
K5 0.913 0.087 0.108
K6 0.913 0.087 0.392
Cd1 0.305 0.695 0.250
Cd2 0.377 0.623 0.535
Cd3 0.377 0.623 0.965
Cd4 0.623 0.377 0.035
Cd5 0.623 0.377 0.465
Cd6 0.695 0.305 0.750
Ag1 0.206 0.794 0.095
Ag2 0.206 0.794 0.405
Ag3 0.794 0.206 0.595
Ag4 0.794 0.206 0.905
```



No. 11
Diffraction record for Pd2N. The X-ray diffraction stick pattern is calculated, not measured: it uses DFT lattice parameters and positions (GGA-PBE) and Cu Kα.
Neutral-atom scattering factors, no anomalous dispersion.

Top 6 peaks for 5 to 70 degrees two-theta, most intense first:
2θ/deg, I (rel.)
5.27, 100
33.62, 14
34.05, 10
47.12, 10
51.29, 7
32.04, 6

Cell and atoms:
```
data_Pd2N
_space_group_name_H-M_alt 'P 1'
_space_group_IT_number 1
_cell_length_a 2.666
_cell_length_b 2.666
_cell_length_c 16.761
_cell_angle_alpha 90.00
_cell_angle_beta 90.00
_cell_angle_gamma 90.00
loop_
_space_group_symop_operation_xyz
'x,y,z'
loop_
_atom_site_label
_atom_site_fract_x
_atom_site_fract_y
_atom_site_fract_z
Pd1 0.000 0.000 0.077
Pd2 0.000 0.000 0.231
Pd3 0.000 0.000 0.769
Pd4 0.000 0.000 0.923
N1 0.500 0.500 0.467
N2 0.500 0.500 0.533
```



No. 12
Diffraction record for In8Hg6Te. The X-ray diffraction stick pattern is calculated, not measured: it uses DFT lattice parameters and positions (GGA-PBE) and Cu Kα.
Neutral-atom scattering factors, no anomalous dispersion.

Top 6 peaks for 5 to 70 degrees two-theta, most intense first:
2θ/deg, I (rel.)
31.25, 100
31.59, 64
30.44, 55
32.86, 54
31.14, 48
33.65, 45

Cell and atoms:
```
data_In8Hg6Te
_space_group_name_H-M_alt 'P 1'
_space_group_IT_number 1
_cell_length_a 6.051
_cell_length_b 8.494
_cell_length_c 9.140
_cell_angle_alpha 66.34
_cell_angle_beta 80.64
_cell_angle_gamma 75.81
loop_
_space_group_symop_operation_xyz
'x,y,z'
loop_
_atom_site_label
_atom_site_fract_x
_atom_site_fract_y
_atom_site_fract_z
In1 0.084 0.308 0.485
In2 0.122 0.286 0.843
In3 0.195 0.994 0.257
In4 0.248 0.707 0.747
In5 0.752 0.293 0.253
In6 0.805 0.006 0.743
In7 0.878 0.714 0.157
In8 0.916 0.692 0.515
Hg1 0.264 0.407 0.103
Hg2 0.326 0.889 0.962
Hg3 0.415 0.596 0.331
Hg4 0.585 0.404 0.669
Hg5 0.674 0.111 0.038
Hg6 0.736 0.593 0.897
Te1 0.500 0.000 0.500
```



No. 13
Diffraction record for Sr4Zn2Au5. The X-ray diffraction stick pattern is calculated, not measured: it uses DFT lattice parameters and positions (GGA-PBE) and Cu Kα.
Neutral-atom scattering factors, no anomalous dispersion.

Top 6 peaks for 5 to 70 degrees two-theta, most intense first:
2θ/deg, I (rel.)
31.03, 100
21.46, 60
31.34, 47
38.75, 41
31.77, 39
43.73, 36

Cell and atoms:
```
data_Sr4Zn2Au5
_space_group_name_H-M_alt 'P 1'
_space_group_IT_number 1
_cell_length_a 7.891
_cell_length_b 4.140
_cell_length_c 9.067
_cell_angle_alpha 90.00
_cell_angle_beta 92.90
_cell_angle_gamma 90.00
loop_
_space_group_symop_operation_xyz
'x,y,z'
loop_
_atom_site_label
_atom_site_fract_x
_atom_site_fract_y
_atom_site_fract_z
Sr1 0.213 0.000 0.353
Sr2 0.270 0.000 0.869
Sr3 0.730 0.000 0.131
Sr4 0.787 0.000 0.647
Zn1 0.437 0.500 0.623
Zn2 0.563 0.500 0.377
Au1 0.000 0.500 0.000
Au2 0.109 0.500 0.628
Au3 0.387 0.500 0.126
Au4 0.613 0.500 0.874
Au5 0.891 0.500 0.372
```